No. 1
Starting from a cell relaxed with GGA+U, the PXRD pattern of LiVP4O12 was calculated for Cu Ka.

Most intense lines, 2θ = 10–90°, low angle first:
Position (°2θ), d_spacing, I/Imax
12.77, 6.930, 773
18.92, 4.690, 1000
19.42, 4.570, 427
25.05, 3.555, 485
25.26, 3.526, 859
26.82, 3.324, 190
28.37, 3.146, 265
31.13, 2.873, 313
32.28, 2.773, 193
39.00, 2.310, 161

Unit cell a=15.2472 b=8.1200 c=9.2191 alpha=90.00 beta=119.31 gamma=90.00
Space group C2/c (No. 15)
Inequivalent atoms, fractional coordinates:
1 Li 0.0000 0.0000 0.0000
2 V 0.0000 0.3331 0.2500
3 P 0.1410 0.4448 0.6401
4 P 0.1481 0.1958 0.1068
5 O 0.0694 0.4802 0.7035
6 O 0.0941 0.1122 0.9429
7 O 0.0945 0.1807 0.2098
8 O 0.1061 0.3236 0.4982
9 O 0.1751 0.3857 0.0917
10 O 0.2409 0.3782 0.7926

No. 2
Starting from a cell relaxed with GGA+U, the PXRD pattern of LiVP3O9 was calculated for Cu Ka.

Most intense lines, 2θ = 10–90°, low angle first:
Position (°2θ), d_spacing, I/Imax
17.60, 5.039, 891
22.26, 3.993, 931
22.93, 3.878, 1000
24.58, 3.622, 662
25.20, 3.535, 974
31.52, 2.838, 345
32.73, 2.736, 563
33.03, 2.712, 583
33.24, 2.695, 303
34.41, 2.606, 322

Unit cell a=8.5707 b=8.6131 c=9.0232 alpha=90.00 beta=90.00 gamma=90.00
Space group P2_12_12_1 (No. 19)
Inequivalent atoms, fractional coordinates:
1 Li 0.1057 0.1202 0.0885
2 V 0.1190 0.9031 0.3601
3 P 0.0609 0.0506 0.6821
4 P 0.0675 0.2794 0.4322
5 P 0.2264 0.4410 0.9423
6 O 0.0209 0.2095 0.5918
7 O 0.0625 0.8802 0.1252
8 O 0.1132 0.4796 0.8014
9 O 0.1222 0.0915 0.8326
10 O 0.1218 0.1515 0.3313
11 O 0.1285 0.3801 0.0683
12 O 0.1388 0.6558 0.3904
13 O 0.1603 0.9433 0.5898
14 O 0.2106 0.3888 0.4844